Starting from a DFT-relaxed cell (GGA-PBE, Alexandria), the powder diffraction line list of PuGaHgSb was simulated for λ = 1.5418 Å (Cu Kα).
Peak positions follow from Bragg's law for the DFT cell and can differ from measured ones.

Cell and atoms:
```
4
Lattice="4.3898 0.0000 0.0000 0.0000 4.5005 0.0000 0.0000 0.0000 4.8210" Properties=species:S:1:pos:R:3 pbc="T T T"
Pu 0.0000 0.0000 0.0000
Ga 2.1949 0.0000 2.4105
Hg 0.0000 2.2503 2.4105
Sb 2.1949 2.2503 0.0000
```

Largest 8 diffraction maxima, in order of rising 2θ, 10 to 90 degrees two-theta:
two_theta, I (rel.)
20.23, 13
27.10, 13
34.06, 100
37.30, 20
40.07, 16
41.13, 15
65.20, 17
68.96, 13

Starting from a DFT-relaxed cell (GGA-PBE, Alexandria), the powder diffraction line list of Y3SiH2 was simulated for λ = 1.5418 Å (Cu Kα).
Peak positions follow from Bragg's law for the DFT cell and can differ from measured ones.

Cell and atoms:
```
12
Lattice="10.6325 -1.9928 0.0000 10.6325 1.9928 0.0000 -1.5337 0.0000 5.6506" Properties=species:S:1:pos:R:3 pbc="T T T"
Y 0.6653 0.0000 1.6233
Y 4.5137 0.0000 1.3239
Y 8.2548 0.0000 0.8477
Y 11.4765 0.0000 4.8029
Y 15.2176 0.0000 4.3267
Y 19.0661 0.0000 4.0274
Si 6.4937 0.0000 3.4379
Si 13.2376 0.0000 2.2128
H -0.1929 0.0000 5.0938
H 4.6684 0.0000 5.5770
H 15.0630 0.0000 0.0736
H 19.9242 0.0000 0.5568
```

Largest 8 diffraction maxima, in order of rising 2θ, 10 to 90 degrees two-theta:
two_theta, I (rel.)
26.05, 35
28.39, 98
31.28, 38
31.67, 35
32.41, 100
34.01, 46
45.52, 32
56.46, 33

Starting from a DFT-relaxed cell (GGA-PBE, Alexandria), the powder diffraction line list of Pr4Br5N2 was simulated for λ = 1.5418 Å (Cu Kα).
Peak positions follow from Bragg's law for the DFT cell and can differ from measured ones.

Cell and atoms:
```
11
Lattice="-1.9039 4.1871 8.9982 1.9039 -4.1871 8.9982 1.9039 4.1871 -8.9982" Properties=species:S:1:pos:R:3 pbc="T T T"
Pr 0.0000 0.0000 3.0100
Pr 1.9039 1.6615 0.0000
Pr 0.0000 2.5257 8.9982
Pr 0.0000 0.0000 14.9863
Br 1.9039 2.3988 -2.9688
Br 1.9039 2.3988 2.9688
Br 0.0000 4.1871 0.0000
Br 0.0000 1.7883 6.0294
Br 0.0000 1.7883 11.9669
N 0.0000 0.0000 0.6924
N 0.0000 0.0000 17.3039
```

Largest 8 diffraction maxima, in order of rising 2θ, 10 to 90 degrees two-theta:
two_theta, I (rel.)
11.66, 28
27.58, 41
29.79, 75
32.16, 100
32.61, 28
35.47, 61
40.67, 47
47.90, 31